Starting from a DFT-relaxed cell (GGA-PBE, Alexandria), the XRD peak list of LaPr3Ga was calculated for Cu Kα, 1.54184 Å.
No peak broadening, texture or thermal motion is included.

```
LaPr3Ga
1.0
6.8910 0.0000 0.0000
3.2799 6.6107 0.0000
1.1357 1.9821 7.1867
La Pr Ga
2 6 2
Direct
0.0000 0.0000 0.0000
0.3468 0.2688 0.6672
0.0104 0.3819 0.1475
0.2437 0.8404 0.5786
0.4516 0.4789 0.0899
0.5489 0.8997 0.1796
0.7835 0.7518 0.7466
0.7850 0.3643 0.6009
0.0261 0.6653 0.3753
0.7666 0.0813 0.3753
```

Largest 10 diffraction maxima, most intense first, 5 to 70 degrees two-theta:
two_theta  I_rel
29.88  100
28.58  87
31.77  85
32.21  80
32.50  60
24.78  58
31.33  50
27.44  39
36.64  36
38.54  33

***

Starting from a DFT-relaxed cell (GGA-PBE, Alexandria), the XRD peak list of La3Pr2Ga3 was calculated for Cu Kα, 1.54184 Å.
No peak broadening, texture or thermal motion is included.

```
La3Pr2Ga3
1.0
8.9637 0.0000 0.0000
-4.4818 7.7628 0.0000
0.0000 0.0000 7.0024
La Pr Ga
6 4 6
Direct
0.0000 0.2422 0.2500
0.0000 0.7578 0.7500
0.2422 0.0000 0.2500
0.2422 0.2422 0.7500
0.7578 0.0000 0.7500
0.7578 0.7578 0.2500
0.3333 0.6667 0.0000
0.3333 0.6667 0.5000
0.6667 0.3333 0.0000
0.6667 0.3333 0.5000
0.0000 0.4036 0.7500
0.0000 0.5964 0.2500
0.4036 0.0000 0.7500
0.4036 0.4036 0.2500
0.5964 0.0000 0.2500
0.5964 0.5964 0.7500
```

Largest 10 diffraction maxima, most intense first, 5 to 70 degrees two-theta:
two_theta  I_rel
33.10  100
32.45  90
30.47  40
34.67  36
27.96  32
49.93  31
54.02  22
48.22  21
65.80  14
54.14  14

***

Starting from a DFT-relaxed cell (GGA-PBE, Alexandria), the XRD peak list of La2Ga3Pt5 was calculated for Cu Kα, 1.54184 Å.
No peak broadening, texture or thermal motion is included.

```
La2Ga3Pt5
1.0
2.1340 -12.6474 0.0000
2.1340 12.6474 0.0000
0.0000 0.0000 7.4265
La Ga Pt
4 6 10
Direct
0.0451 0.9549 0.5000
0.3332 0.6668 0.2990
0.6668 0.3332 0.7990
0.9549 0.0451 0.0000
0.1342 0.8658 0.1993
0.2711 0.7289 0.7534
0.4646 0.5354 0.3259
0.5354 0.4646 0.8259
0.7289 0.2711 0.2534
0.8658 0.1342 0.6993
0.0823 0.9177 0.9087
0.2050 0.7950 0.4793
0.2251 0.7749 0.0614
0.3653 0.6347 0.8971
0.4501 0.5499 0.6656
0.5499 0.4501 0.1656
0.6347 0.3653 0.3971
0.7749 0.2251 0.5614
0.7950 0.2050 0.9793
0.9177 0.0823 0.4087
```

Largest 10 diffraction maxima, most intense first, 5 to 70 degrees two-theta:
two_theta  I_rel
42.35  100
34.70  88
40.75  87
32.14  59
32.47  52
43.61  50
36.67  43
29.92  37
33.71  35
27.86  35

***

Starting from a DFT-relaxed cell (GGA-PBE, Alexandria), the XRD peak list of La2Ga5Pt4 was calculated for Cu Kα, 1.54184 Å.
No peak broadening, texture or thermal motion is included.

```
La2Ga5Pt4
1.0
0.0000 4.8186 8.0499
2.8031 0.0000 8.0499
2.8031 4.8186 0.0000
La Ga Pt
2 5 4
Direct
0.1349 0.1349 0.8651
0.8651 0.8651 0.1349
0.0000 0.0000 0.5000
0.2500 0.2500 0.2500
0.5000 0.5000 0.0000
0.5000 0.5000 0.5000
0.7500 0.7500 0.7500
0.2138 0.5221 0.4779
0.4779 0.7862 0.2138
0.5221 0.2138 0.7862
0.7862 0.4779 0.5221
```

Largest 10 diffraction maxima, most intense first, 5 to 70 degrees two-theta:
two_theta  I_rel
36.32  100
39.16  79
32.60  62
22.08  47
51.52  34
45.05  30
31.93  30
42.92  28
59.78  27
19.13  21

***

Starting from a DFT-relaxed cell (GGA-PBE, Alexandria), the XRD peak list of La3Ga7Pt4 was calculated for Cu Kα, 1.54184 Å.
No peak broadening, texture or thermal motion is included.

```
La3Ga7Pt4
1.0
8.0575 -2.2166 0.0000
8.0575 2.2166 0.0000
-5.2667 0.0000 7.8508
La Ga Pt
3 7 4
Direct
0.0000 0.0000 0.0000
0.3104 0.3104 0.3043
0.6896 0.6896 0.6957
0.0000 0.0000 0.5000
0.1581 0.1581 0.4306
0.3227 0.3227 0.9675
0.4996 0.4996 0.2876
0.5004 0.5004 0.7124
0.6773 0.6773 0.0325
0.8419 0.8419 0.5694
0.1236 0.1236 0.8567
0.3439 0.3439 0.7148
0.6561 0.6561 0.2852
0.8764 0.8764 0.1433
```

Largest 10 diffraction maxima, most intense first, 5 to 70 degrees two-theta:
two_theta  I_rel
33.85  100
34.66  96
40.70  91
34.95  69
43.77  47
35.47  46
25.71  46
40.44  42
28.38  30
32.23  30

***

Starting from a DFT-relaxed cell (GGA-PBE, Alexandria), the XRD peak list of La3GaPt3 was calculated for Cu Kα, 1.54184 Å.
No peak broadening, texture or thermal motion is included.

```
La3GaPt3
1.0
5.7965 -2.0872 0.0000
5.7965 2.0872 0.0000
-5.3070 0.0000 14.0665
La Ga Pt
6 2 6
Direct
0.0238 0.0238 0.3829
0.1026 0.1026 0.9236
0.2351 0.2351 0.2280
0.7649 0.7649 0.7720
0.8974 0.8974 0.0764
0.9762 0.9762 0.6171
0.2638 0.2638 0.5955
0.7362 0.7362 0.4045
0.3664 0.3664 0.4524
0.3708 0.3708 0.9244
0.4757 0.4757 0.7656
0.5243 0.5243 0.2344
0.6292 0.6292 0.0756
0.6336 0.6336 0.5476
```

Largest 10 diffraction maxima, most intense first, 5 to 70 degrees two-theta:
two_theta  I_rel
38.39  100
32.05  78
31.65  65
35.83  48
30.87  46
43.35  40
60.13  22
54.16  19
37.04  18
59.28  15